(1)
Diffraction record for GdY2Cu4Sn2Ge2. The powder diffraction line list is theoretical, not measured: it uses a DFT-relaxed cell (GGA-PBE, OQMD) and Cu Kα (weighted mean of Kα1 and Kα2).
Intensities are scaled so that the largest is 100.

Structural model:
```
data_GdY2Cu4Sn2Ge2
_chemical_formula_sum 'Gd2 Y4 Cu8 Sn4 Ge4'
_symmetry_space_group_name_H-M 'I m m m'
_symmetry_Int_Tables_number 71
_symmetry_space_group_name_Hall '-I 2 2'
_cell_length_a 4.365
_cell_length_b 6.715
_cell_length_c 14.523
_cell_angle_alpha 90.00
_cell_angle_beta 90.00
_cell_angle_gamma 90.00
loop_
_atom_site_label
_atom_site_fract_x
_atom_site_fract_y
_atom_site_fract_z
Gd1 0.000 0.000 0.000
Y1 0.000 0.500 0.125
Cu1 0.000 0.311 0.341
Sn1 0.000 0.000 0.219
Ge1 0.000 0.189 0.500
```

Principal peaks in the range 2θ = 5–70°, in order of rising 2θ:
hkl, two_theta, I/Imax
0 1 5, 33.6, 29
1 2 1, 34.3, 79
1 1 4, 34.8, 100
0 0 6, 37.1, 12
2 0 0, 41.4, 39
0 3 3, 44.6, 18
1 2 5, 46.3, 21
0 3 5, 51.5, 13
2 1 5, 54.3, 15
2 3 3, 62.5, 12

(2)
Diffraction record for Gd3Mg3Cu2Hg. The powder diffraction line list is theoretical, not measured: it uses a DFT-relaxed cell (GGA-PBE, OQMD) and Cu Kα (weighted mean of Kα1 and Kα2).
Intensities are scaled so that the largest is 100.

Structural model:
```
data_Gd3Mg3Cu2Hg
_chemical_formula_sum 'Gd3 Mg3 Cu2 Hg1'
_symmetry_space_group_name_H-M 'P -6 2 m'
_symmetry_Int_Tables_number 189
_symmetry_space_group_name_Hall 'P -6 -2'
_cell_length_a 7.5194
_cell_length_b 7.5194
_cell_length_c 4.1946
_cell_angle_alpha 90.00
_cell_angle_beta 90.00
_cell_angle_gamma 120.00
loop_
_atom_site_label
_atom_site_fract_x
_atom_site_fract_y
_atom_site_fract_z
Gd1 0.0000 0.5794 0.0000
Mg1 0.0000 0.2540 0.5000
Cu1 0.3333 0.6667 0.5000
Hg1 0.0000 0.0000 0.0000
```

Principal peaks in the range 2θ = 5–70°, in order of rising 2θ:
hkl, two_theta, I/Imax
0 0 1, 21.2, 30
1 1 0, 23.7, 23
2 0 0, 27.4, 45
1 1 1, 32.0, 39
2 0 1, 34.9, 100
3 0 0, 41.6, 20
2 1 1, 42.6, 24
0 0 2, 43.1, 19
3 1 1, 55.4, 19
3 2 1, 66.4, 21

(3)
Diffraction record for Gd2HoCu4Si4. The powder diffraction line list is theoretical, not measured: it uses a DFT-relaxed cell (GGA-PBE, OQMD) and Cu Kα (weighted mean of Kα1 and Kα2).
Intensities are scaled so that the largest is 100.

Structural model:
```
data_Gd2HoCu4Si4
_chemical_formula_sum 'Gd4 Ho2 Cu8 Si8'
_symmetry_space_group_name_H-M 'I m m m'
_symmetry_Int_Tables_number 71
_symmetry_space_group_name_Hall '-I 2 2'
_cell_length_a 4.157
_cell_length_b 6.524
_cell_length_c 13.748
_cell_angle_alpha 90.00
_cell_angle_beta 90.00
_cell_angle_gamma 90.00
loop_
_atom_site_label
_atom_site_fract_x
_atom_site_fract_y
_atom_site_fract_z
Gd1 0.000 0.000 0.130
Ho1 0.000 0.500 0.000
Cu1 0.000 0.190 0.332
Si1 0.000 0.314 0.500
Si2 0.000 0.500 0.215
```

Principal peaks in the range 2θ = 5–70°, in order of rising 2θ:
hkl, two_theta, I/Imax
1 0 1, 22.3, 19
0 1 3, 23.7, 26
1 1 2, 28.6, 25
0 1 5, 35.4, 30
1 2 1, 35.6, 90
1 1 4, 36.6, 100
0 0 6, 39.3, 22
2 0 0, 43.5, 34
0 3 3, 46.2, 35
2 3 3, 65.4, 24

(4)
Diffraction record for GdHo2Cu4Sn4. The powder diffraction line list is theoretical, not measured: it uses a DFT-relaxed cell (GGA-PBE, OQMD) and Cu Kα (weighted mean of Kα1 and Kα2).
Intensities are scaled so that the largest is 100.

Structural model:
```
data_GdHo2Cu4Sn4
_chemical_formula_sum 'Gd2 Ho4 Cu8 Sn8'
_symmetry_space_group_name_H-M 'I m m m'
_symmetry_Int_Tables_number 71
_symmetry_space_group_name_Hall '-I 2 2'
_cell_length_a 4.472
_cell_length_b 6.964
_cell_length_c 14.727
_cell_angle_alpha 90.00
_cell_angle_beta 90.00
_cell_angle_gamma 90.00
loop_
_atom_site_label
_atom_site_fract_x
_atom_site_fract_y
_atom_site_fract_z
Gd1 0.000 0.000 0.000
Ho1 0.000 0.500 0.131
Cu1 0.000 0.312 0.329
Sn1 0.000 0.000 0.216
Sn2 0.000 0.202 0.500
```

Principal peaks in the range 2θ = 5–70°, in order of rising 2θ:
hkl, two_theta, I/Imax
0 1 5, 33.0, 28
1 2 1, 33.2, 99
1 1 4, 34.1, 100
0 0 6, 36.6, 20
2 0 0, 40.3, 43
0 3 3, 43.1, 23
1 2 5, 45.1, 23
2 1 5, 53.1, 15
2 3 3, 60.5, 17
2 4 0, 68.3, 15

(5)
Diffraction record for Gd2LuIn3Cu3. The powder diffraction line list is theoretical, not measured: it uses a DFT-relaxed cell (GGA-PBE, OQMD) and Cu Kα (weighted mean of Kα1 and Kα2).
Intensities are scaled so that the largest is 100.

Structural model:
```
data_Gd2LuIn3Cu3
_chemical_formula_sum 'Gd4 Lu2 In6 Cu6'
_symmetry_space_group_name_H-M 'A m m 2'
_symmetry_Int_Tables_number 38
_symmetry_space_group_name_Hall 'A 2 -2'
_cell_length_a 3.875
_cell_length_b 13.003
_cell_length_c 7.523
_cell_angle_alpha 90.00
_cell_angle_beta 90.00
_cell_angle_gamma 90.00
loop_
_atom_site_label
_atom_site_fract_x
_atom_site_fract_y
_atom_site_fract_z
Gd1 0.000 0.205 0.000
Lu1 0.000 0.000 0.615
In1 0.500 0.000 0.948
In2 0.500 0.127 0.336
Cu1 0.000 0.000 0.208
Cu2 0.500 0.163 0.705
```

Principal peaks in the range 2θ = 5–70°, in order of rising 2θ:
hkl, two_theta, I/Imax
1 3 1, 33.2, 100
1 4 0, 36.0, 73
0 1 3, 36.5, 51
0 3 3, 41.6, 24
2 0 0, 46.9, 20
0 7 1, 50.6, 15
1 5 3, 56.2, 22
2 1 3, 60.9, 22
2 3 3, 64.5, 13
1 1 5, 67.2, 16

(6)
Diffraction record for NdGd2In3Cu3. The powder diffraction line list is theoretical, not measured: it uses a DFT-relaxed cell (GGA-PBE, OQMD) and Cu Kα (weighted mean of Kα1 and Kα2).
Intensities are scaled so that the largest is 100.

Structural model:
```
data_NdGd2In3Cu3
_chemical_formula_sum 'Nd2 Gd4 In6 Cu6'
_symmetry_space_group_name_H-M 'A m m 2'
_symmetry_Int_Tables_number 38
_symmetry_space_group_name_Hall 'A 2 -2'
_cell_length_a 3.956
_cell_length_b 13.091
_cell_length_c 7.559
_cell_angle_alpha 90.00
_cell_angle_beta 90.00
_cell_angle_gamma 90.00
loop_
_atom_site_label
_atom_site_fract_x
_atom_site_fract_y
_atom_site_fract_z
Nd1 0.000 0.000 0.000
Gd1 0.000 0.206 0.382
In1 0.500 0.000 0.337
In2 0.500 0.128 0.712
Cu1 0.000 0.000 0.586
Cu2 0.500 0.169 0.088
```

Principal peaks in the range 2θ = 5–70°, in order of rising 2θ:
hkl, two_theta, I/Imax
1 0 2, 32.8, 100
1 2 2, 35.6, 77
0 5 1, 36.3, 54
0 6 0, 41.4, 23
1 5 1, 43.1, 13
2 0 0, 45.9, 22
0 5 3, 50.3, 14
1 7 1, 55.7, 22
2 5 1, 59.9, 25
1 7 3, 66.6, 25

(7)
Diffraction record for NdGd2In3Cu2Pt. The powder diffraction line list is theoretical, not measured: it uses a DFT-relaxed cell (GGA-PBE, OQMD) and Cu Kα (weighted mean of Kα1 and Kα2).
Intensities are scaled so that the largest is 100.

Structural model:
```
data_NdGd2In3Cu2Pt
_chemical_formula_sum 'Nd2 Gd4 In6 Cu4 Pt2'
_symmetry_space_group_name_H-M 'A m m 2'
_symmetry_Int_Tables_number 38
_symmetry_space_group_name_Hall 'A 2 -2'
_cell_length_a 4.031
_cell_length_b 13.155
_cell_length_c 7.622
_cell_angle_alpha 90.00
_cell_angle_beta 90.00
_cell_angle_gamma 90.00
loop_
_atom_site_label
_atom_site_fract_x
_atom_site_fract_y
_atom_site_fract_z
Nd1 0.000 0.000 0.000
Gd1 0.000 0.203 0.610
In1 0.500 0.000 0.667
In2 0.500 0.131 0.278
Cu1 0.500 0.169 0.906
Pt1 0.000 0.000 0.411
```

Principal peaks in the range 2θ = 5–70°, in order of rising 2θ:
hkl, two_theta, I/Imax
0 1 1, 13.4, 19
1 0 2, 32.4, 94
1 2 2, 35.2, 100
0 4 2, 36.0, 26
0 3 3, 41.1, 26
1 5 1, 42.7, 30
2 0 0, 45.0, 26
2 5 1, 58.9, 19
2 6 0, 62.5, 22
1 8 2, 66.1, 24

(8)
Diffraction record for Gd2InCuNi. The powder diffraction line list is theoretical, not measured: it uses a DFT-relaxed cell (GGA-PBE, OQMD) and Cu Kα (weighted mean of Kα1 and Kα2).
Intensities are scaled so that the largest is 100.

Structural model:
```
data_Gd2InCuNi
_chemical_formula_sum 'Gd4 In2 Cu2 Ni2'
_symmetry_space_group_name_H-M 'A m m 2'
_symmetry_Int_Tables_number 38
_symmetry_space_group_name_Hall 'A 2 -2'
_cell_length_a 3.649
_cell_length_b 4.131
_cell_length_c 14.269
_cell_angle_alpha 90.00
_cell_angle_beta 90.00
_cell_angle_gamma 90.00
loop_
_atom_site_label
_atom_site_fract_x
_atom_site_fract_y
_atom_site_fract_z
Gd1 0.000 0.000 0.000
Gd2 0.000 0.000 0.272
In1 0.500 0.000 0.633
Cu1 0.500 0.000 0.836
Ni1 0.500 0.000 0.433
```

Principal peaks in the range 2θ = 5–70°, in order of rising 2θ:
hkl, two_theta, I/Imax
0 1 3, 28.6, 42
1 1 1, 33.4, 100
1 0 4, 35.2, 71
1 1 3, 37.9, 34
0 1 5, 38.3, 38
0 2 0, 43.8, 28
2 0 0, 50.0, 30
1 1 7, 56.3, 16
1 2 4, 57.4, 34
2 1 5, 64.7, 16